The following is a simulated X-ray powder pattern of Dy6SnP2S3. It was derived from the GGA-PBE geometry in Alexandria, using λ = 1.5418 Å (Cu Kα).

Atomic structure:
a b c (Å): 9.014 9.014 8.121
angles (deg): 102.59 102.59 25.65
Element x y z (fractional)
Dy (0.003, 0.003, 0.269)
Dy (0.327, 0.327, 0.904)
Dy (0.330, 0.330, 0.422)
Dy (0.670, 0.670, 0.578)
Dy (0.673, 0.673, 0.096)
Dy (0.997, 0.997, 0.731)
Sn (0.500, 0.500, 0.000)
P (0.168, 0.168, 0.336)
P (0.832, 0.832, 0.664)
S (0.166, 0.166, 0.832)
S (0.500, 0.500, 0.500)
S (0.834, 0.834, 0.168)

Largest 12 diffraction maxima, in order of rising 2θ, 10° ≤ 2θ ≤ 90°:
d (Å), 2theta, I (rel.)
3.321, 26.84, 14
3.297, 27.04, 14
3.277, 27.21, 28
2.852, 31.36, 100
2.030, 44.63, 12
2.023, 44.81, 24
2.012, 45.06, 24
2.001, 45.32, 12
1.639, 56.13, 13
1.425, 65.50, 8
1.279, 74.16, 10
1.273, 74.53, 11

The following is a simulated X-ray powder pattern of Dy4SnPS2. It was derived from the GGA-PBE geometry in Alexandria, using λ = 1.5418 Å (Cu Kα).

Atomic structure:
a b c (Å): 7.038 4.031 7.111
angles (deg): 90.00 109.39 90.00
Element x y z (fractional)
Dy (0.239, 0.000, 0.233)
Dy (0.251, 0.500, 0.761)
Dy (0.749, 0.500, 0.239)
Dy (0.761, 0.000, 0.767)
Sn (0.500, 0.500, 0.500)
P (0.500, 0.000, 0.000)
S (0.000, 0.000, 0.500)
S (0.000, 0.500, 0.000)

Largest 12 diffraction maxima, in order of rising 2θ, 10° ≤ 2θ ≤ 90°:
d (Å), 2theta, I (rel.)
3.354, 26.58, 17
3.320, 26.86, 17
3.305, 26.98, 34
2.886, 30.98, 51
2.871, 31.16, 100
2.044, 44.33, 55
2.028, 44.69, 37
2.016, 44.97, 18
1.735, 52.76, 14
1.653, 55.62, 19
1.435, 64.98, 12
1.174, 82.13, 15

The following is a simulated X-ray powder pattern of DyTlP2S8. It was derived from the GGA-PBE geometry in Alexandria, using λ = 1.5418 Å (Cu Kα).

Atomic structure:
a b c (Å): 9.800 9.800 9.800
angles (deg): 36.71 36.71 36.71
Element x y z (fractional)
Dy (0.000, 0.000, 0.000)
Tl (0.500, 0.500, 0.500)
P (0.254, 0.254, 0.254)
P (0.746, 0.746, 0.746)
S (0.061, 0.687, 0.426)
S (0.180, 0.180, 0.180)
S (0.313, 0.574, 0.939)
S (0.426, 0.061, 0.687)
S (0.574, 0.939, 0.313)
S (0.687, 0.426, 0.061)
S (0.820, 0.820, 0.820)
S (0.939, 0.313, 0.574)

Largest 12 diffraction maxima, in order of rising 2θ, 10° ≤ 2θ ≤ 90°:
d (Å), 2theta, I (rel.)
4.979, 17.82, 45
4.213, 21.09, 100
3.086, 28.94, 43
2.923, 30.58, 21
2.883, 31.02, 34
2.623, 34.19, 16
2.556, 35.10, 63
2.489, 36.08, 27
2.437, 36.88, 17
1.938, 46.89, 26
1.835, 49.68, 35
1.782, 51.28, 23